No. 1
Structure and computed powder X-ray diffraction pattern of Tm5Co2Sb (the GGA-PBE geometry in OQMD; Cu Kα, 1.54184 Å).
Lines closer than 0.1° are merged.

Peak list (10 most intense, 2θ from 10° to 90°, by intensity)
| 2θ/deg | d/Å | Rel. int. |
| --- | --- | --- |
| 33.7 | 2.659 | 100 |
| 38.1 | 2.359 | 73 |
| 36.3 | 2.473 | 47 |
| 27.6 | 3.235 | 42 |
| 32.0 | 2.800 | 42 |
| 59.6 | 1.552 | 28 |
| 43.7 | 2.071 | 25 |
| 69.5 | 1.353 | 23 |
| 56.7 | 1.624 | 17 |
| 34.0 | 2.638 | 15 |

Structure:
Cell lengths 8.4539, 8.4539, 8.4539 Å; angles 127.64, 127.64, 77.22 degrees
Atoms (fractional coordinates):
Tm (0.0000, 0.0000, 0.0000)
Tm (0.0254, 0.5254, 0.8158)
Tm (0.2096, 0.0254, 0.5000)
Tm (0.2904, 0.7904, 0.8158)
Tm (0.4746, 0.2904, 0.5000)
Tm (0.5000, 0.5000, 0.0000)
Tm (0.5254, 0.7096, 0.5000)
Tm (0.7096, 0.2096, 0.1842)
Tm (0.7904, 0.9746, 0.5000)
Tm (0.9746, 0.4746, 0.1842)
Co (0.1346, 0.3654, 0.5000)
Co (0.3654, 0.8654, 0.2309)
Co (0.6346, 0.1346, 0.7691)
Co (0.8654, 0.6346, 0.5000)
Sb (0.2500, 0.2500, 0.0000)
Sb (0.7500, 0.7500, 0.0000)

---

No. 2
Structure and computed powder X-ray diffraction pattern of Zr5CoSb3 (the GGA-PBE geometry in OQMD; Cu Kα, 1.54184 Å).
Lines closer than 0.1° are merged.

Peak list (10 most intense, 2θ from 10° to 90°, by intensity)
| 2θ/deg | d/Å | Rel. int. |
| --- | --- | --- |
| 35.3 | 2.542 | 100 |
| 37.4 | 2.405 | 97 |
| 36.0 | 2.495 | 70 |
| 57.8 | 1.594 | 23 |
| 46.5 | 1.954 | 22 |
| 52.9 | 1.732 | 22 |
| 30.9 | 2.895 | 17 |
| 76.0 | 1.252 | 15 |
| 66.1 | 1.414 | 13 |
| 70.9 | 1.330 | 13 |

Structure:
Cell lengths 8.6445, 8.6445, 5.7901 Å; angles 90.00, 90.00, 120.00 degrees
Atoms (fractional coordinates):
Zr (0.0000, 0.2510, 0.2500)
Zr (0.0000, 0.7490, 0.7500)
Zr (0.2510, 0.0000, 0.2500)
Zr (0.2510, 0.2510, 0.7500)
Zr (0.3333, 0.6667, 0.0000)
Zr (0.3333, 0.6667, 0.5000)
Zr (0.6667, 0.3333, 0.0000)
Zr (0.6667, 0.3333, 0.5000)
Zr (0.7490, 0.0000, 0.7500)
Zr (0.7490, 0.7490, 0.2500)
Co (0.0000, 0.0000, 0.0000)
Co (0.0000, 0.0000, 0.5000)
Sb (0.0000, 0.3915, 0.7500)
Sb (0.0000, 0.6085, 0.2500)
Sb (0.3915, 0.0000, 0.7500)
Sb (0.3915, 0.3915, 0.2500)
Sb (0.6085, 0.0000, 0.2500)
Sb (0.6085, 0.6085, 0.7500)

---

No. 3
Structure and computed powder X-ray diffraction pattern of Sc6Co16Si7 (the GGA-PBE geometry in OQMD; Cu Kα, 1.54184 Å).
Lines closer than 0.1° are merged.

Peak list (10 most intense, 2θ from 10° to 90°, by intensity)
| 2θ/deg | d/Å | Rel. int. |
| --- | --- | --- |
| 45.2 | 2.006 | 100 |
| 41.3 | 2.184 | 78 |
| 47.4 | 1.918 | 42 |
| 15.6 | 5.673 | 30 |
| 52.9 | 1.730 | 25 |
| 85.1 | 1.140 | 19 |
| 13.5 | 6.551 | 19 |
| 83.5 | 1.158 | 16 |
| 50.9 | 1.794 | 15 |
| 70.4 | 1.337 | 14 |

Structure:
Cell lengths 8.0233, 8.0233, 8.0233 Å; angles 60.00, 60.00, 60.00 degrees
Atoms (fractional coordinates):
Sc (0.2095, 0.2095, 0.7905)
Sc (0.2095, 0.7905, 0.2095)
Sc (0.2095, 0.7905, 0.7905)
Sc (0.7905, 0.2095, 0.2095)
Sc (0.7905, 0.2095, 0.7905)
Sc (0.7905, 0.7905, 0.2095)
Co (0.1404, 0.6199, 0.6199)
Co (0.1733, 0.1733, 0.1733)
Co (0.1733, 0.1733, 0.4801)
Co (0.1733, 0.4801, 0.1733)
Co (0.3801, 0.3801, 0.3801)
Co (0.3801, 0.3801, 0.8596)
Co (0.3801, 0.8596, 0.3801)
Co (0.4801, 0.1733, 0.1733)
Co (0.5199, 0.8267, 0.8267)
Co (0.6199, 0.1404, 0.6199)
Co (0.6199, 0.6199, 0.1404)
Co (0.6199, 0.6199, 0.6199)
Co (0.8267, 0.5199, 0.8267)
Co (0.8267, 0.8267, 0.5199)
Co (0.8267, 0.8267, 0.8267)
Co (0.8596, 0.3801, 0.3801)
Si (0.0000, 0.0000, 0.5000)
Si (0.0000, 0.5000, 0.0000)
Si (0.0000, 0.5000, 0.5000)
Si (0.5000, 0.0000, 0.0000)
Si (0.5000, 0.0000, 0.5000)
Si (0.5000, 0.5000, 0.0000)
Si (0.5000, 0.5000, 0.5000)

---

No. 4
Structure and computed powder X-ray diffraction pattern of Sc2Co3Si5 (the GGA-PBE geometry in OQMD; Cu Kα, 1.54184 Å).
Lines closer than 0.1° are merged.

Peak list (10 most intense, 2θ from 10° to 90°, by intensity)
| 2θ/deg | d/Å | Rel. int. |
| --- | --- | --- |
| 47.1 | 1.929 | 100 |
| 38.1 | 2.362 | 67 |
| 37.6 | 2.393 | 56 |
| 38.3 | 2.351 | 54 |
| 36.8 | 2.442 | 52 |
| 25.7 | 3.461 | 38 |
| 19.3 | 4.601 | 25 |
| 39.9 | 2.257 | 21 |
| 36.5 | 2.462 | 20 |
| 44.4 | 2.042 | 19 |

Structure:
Cell lengths 7.6517, 7.6517, 5.3256 Å; angles 108.65, 108.65, 94.14 degrees
Atoms (fractional coordinates):
Sc (0.0915, 0.3719, 0.2357)
Sc (0.3719, 0.0915, 0.7357)
Sc (0.6281, 0.9085, 0.2643)
Sc (0.9085, 0.6281, 0.7643)
Co (0.0443, 0.7635, 0.3721)
Co (0.2365, 0.9557, 0.1279)
Co (0.4983, 0.5017, 0.2500)
Co (0.5017, 0.4983, 0.7500)
Co (0.7635, 0.0443, 0.8721)
Co (0.9557, 0.2365, 0.6279)
Si (0.0144, 0.9856, 0.7500)
Si (0.2336, 0.4251, 0.8294)
Si (0.2735, 0.7265, 0.7500)
Si (0.2915, 0.7085, 0.2500)
Si (0.4251, 0.2336, 0.3294)
Si (0.5749, 0.7664, 0.6706)
Si (0.7085, 0.2915, 0.7500)
Si (0.7265, 0.2735, 0.2500)
Si (0.7664, 0.5749, 0.1706)
Si (0.9856, 0.0144, 0.2500)

---

Number 1 is which compound? Tm5Co2Sb